(1)
Diffraction record for B11C. The X-ray powder pattern is theoretical, not measured: it uses the GGA-PBE geometry in Alexandria and Cu Ka.

```
data_B11C
_space_group_name_H-M_alt 'P 1 m 1'
_space_group_IT_number 6
_cell_length_a 4.8929
_cell_length_b 2.8087
_cell_length_c 6.2601
_cell_angle_alpha 90.00
_cell_angle_beta 98.42
_cell_angle_gamma 90.00
loop_
_space_group_symop_operation_xyz
'x,y,z'
'x,-y,z'
loop_
_atom_site_label
_atom_site_fract_x
_atom_site_fract_y
_atom_site_fract_z
B1 0.0000 0.0000 0.0000
B2 0.0163 0.5000 0.4221
B3 0.2339 0.0000 0.8076
B4 0.2913 0.5000 0.6396
B5 0.3685 0.5000 0.3744
B6 0.4752 0.0000 0.0491
B7 0.6565 0.5000 0.6365
B8 0.7398 0.5000 0.9260
B9 0.7811 0.0000 0.4579
B10 0.8339 0.0000 0.7462
B11 0.9816 0.5000 0.1532
C1 0.4901 0.0000 0.2957
```

Largest 6 diffraction maxima, sorted by position, 10 to 90 degrees two-theta:
2θ (°)  intensity
21.58  20.0
37.88  29.4
38.81  100.0
42.03  32.1
66.60  27.6
69.30  24.3

---

(2)
Diffraction record for Y2Ga12Ru. The X-ray powder pattern is theoretical, not measured: it uses the GGA-PBE geometry in Alexandria and Cu Ka.

```
data_Y2Ga12Ru
_space_group_name_H-M_alt 'P 4/n b m'
_space_group_IT_number 125
_cell_length_a 6.0432
_cell_length_b 6.0432
_cell_length_c 15.7051
_cell_angle_alpha 90.00
_cell_angle_beta 90.00
_cell_angle_gamma 90.00
loop_
_space_group_symop_operation_xyz
'x,y,z'
'-x,-y,-z'
'-y+1/2,x,z'
'y+1/2,-x,-z'
'-x+1/2,-y+1/2,z'
'x+1/2,y+1/2,-z'
'y,-x+1/2,z'
'-y,x+1/2,-z'
'x,-y+1/2,-z'
'-x,y+1/2,z'
'-y+1/2,-x+1/2,-z'
'y+1/2,x+1/2,z'
'-x+1/2,y,-z'
'x+1/2,-y,z'
'y,x,-z'
'-y,-x,z'
loop_
_atom_site_label
_atom_site_fract_x
_atom_site_fract_y
_atom_site_fract_z
Y1 0.2500 0.7500 0.2378
Ga1 0.0001 0.9999 0.0873
Ga2 0.0851 0.5851 0.4316
Ga3 0.2500 0.2500 0.1929
Ga4 0.2500 0.2500 0.3476
Ru1 0.2500 0.7500 0.0000
```

Largest 6 diffraction maxima, sorted by position, 10 to 90 degrees two-theta:
2θ (°)  intensity
30.93  64.3
31.73  100.0
37.56  41.1
41.47  54.9
42.30  92.5
45.87  51.8

---

What is the formula in the second record? Y2Ga12Ru